Theoretical powder diffraction line list
Compound: Ba2AlHgO4
Radiation: Cu Kα X-rays
Structure: DFT lattice parameters and positions (GGA-PBE)
Neutral-atom scattering factors, no anomalous dispersion.

Crystal structure
Unit cell a=6.574 b=6.574 c=6.973 alpha=90.00 beta=90.00 gamma=90.00
Space group I-4 (No. 82)
Unique sites:
Ba 0.000 0.000 0.000 x2
Ba 0.000 0.500 0.250 x2
Al 0.000 0.500 0.750 x2
Hg 0.000 0.000 0.500 x2
O 0.157 0.658 0.600 x8

Top 12 peaks for 2θ = 10–90°, sorted by position:
2θ = 18.5°, I 17, (1 0 1)
2θ = 19.1°, I 16, (1 1 0)
2θ = 27.1°, I 70, (2 0 0)
2θ = 32.1°, I 100, (1 1 2)
2θ = 33.1°, I 15, (2 1 1)
2θ = 38.7°, I 32, (2 2 0)
2θ = 51.2°, I 57, (3 1 2)
2θ = 60.1°, I 18, (2 0 4)
2θ = 63.3°, I 15, (2 4 0)
2θ = 66.0°, I 12, (3 3 2)
2θ = 79.2°, I 16, (5 1 2)
2θ = 86.6°, I 12, (4 2 4)



Theoretical powder diffraction line list
Compound: Ba2HoAlS5
Radiation: Cu Kα X-rays
Structure: DFT lattice parameters and positions (GGA-PBE)
Neutral-atom scattering factors, no anomalous dispersion.

Crystal structure
Unit cell a=4.049 b=18.223 c=13.092 alpha=90.00 beta=90.00 gamma=90.00
Space group Cmc2_1 (No. 36)
Unique sites:
Ba 0.000 0.119 0.000 x4
Ba 0.000 0.129 0.643 x4
Ho 0.000 0.204 0.344 x4
Al 0.000 0.440 0.743 x4
S 0.000 0.045 0.335 x4
S 0.000 0.297 0.980 x4
S 0.000 0.318 0.698 x4
S 0.000 0.347 0.324 x4
S 0.000 0.500 0.096 x4

Top 12 peaks for 2θ = 10–90°, sorted by position:
2θ = 16.7°, I 23, (0 2 2)
2θ = 22.6°, I 64, (0 2 3)
2θ = 23.8°, I 17, (0 4 2)
2θ = 26.5°, I 22, (1 3 0)
2θ = 27.3°, I 21, (1 3 1)
2θ = 30.2°, I 40, (0 6 1)
2θ = 30.5°, I 100, (1 1 3)
2θ = 35.9°, I 39, (1 5 2)
2θ = 41.4°, I 14, (0 0 6)
2θ = 43.6°, I 15, (1 7 2)
2θ = 44.8°, I 18, (2 0 0)
2θ = 54.9°, I 15, (2 6 1)



Theoretical powder diffraction line list
Compound: BaHo2Al3Zn6
Radiation: Cu Kα X-rays
Structure: DFT lattice parameters and positions (GGA-PBE)
Neutral-atom scattering factors, no anomalous dispersion.

Crystal structure
Unit cell a=4.220 b=4.220 c=14.211 alpha=90.00 beta=90.00 gamma=90.00
Space group P4/mmm (No. 123)
Unique sites:
Ba 0.000 0.000 0.000 x1
Ho 0.000 0.000 0.379 x2
Al 0.500 0.500 0.107 x2
Al 0.500 0.500 0.500 x1
Zn 0.000 0.500 0.212 x4
Zn 0.500 0.500 0.319 x2

Top 12 peaks for 2θ = 10–90°, sorted by position:
2θ = 21.1°, I 25, (1 0 0)
2θ = 24.5°, I 28, (1 0 2)
2θ = 28.3°, I 31, (1 0 3)
2θ = 29.9°, I 32, (1 1 0)
2θ = 32.5°, I 41, (1 1 2)
2θ = 35.6°, I 100, (1 1 3)
2θ = 38.2°, I 74, (1 0 5)
2θ = 39.4°, I 32, (1 1 4)
2θ = 42.9°, I 72, (2 0 0)
2θ = 58.7°, I 42, (2 1 5)
2θ = 62.2°, I 23, (2 2 0)
2θ = 73.8°, I 23, (3 1 3)



Theoretical powder diffraction line list
Compound: BaAl2OsI
Radiation: Cu Kα X-rays
Structure: DFT lattice parameters and positions (GGA-PBE)
Neutral-atom scattering factors, no anomalous dispersion.

Crystal structure
Unit cell a=5.479 b=5.479 c=6.328 alpha=90.00 beta=90.00 gamma=90.00
Space group P4/mmm (No. 123)
Unique sites:
Ba 0.000 0.000 0.000 x1
Al 0.000 0.500 0.500 x2
Os 0.500 0.500 0.000 x1
I 0.000 0.000 0.500 x1

Top 12 peaks for 2θ = 10–90°, sorted by position:
2θ = 21.5°, I 51, (1 0 1)
2θ = 23.0°, I 100, (1 1 0)
2θ = 27.0°, I 55, (1 1 1)
2θ = 28.2°, I 50, (0 0 2)
2θ = 32.7°, I 70, (2 0 0)
2θ = 36.7°, I 62, (1 1 2)
2θ = 43.7°, I 60, (2 0 2)
2θ = 46.9°, I 26, (2 2 0)
2θ = 55.6°, I 29, (2 2 2)
2θ = 61.0°, I 28, (3 1 2)
2θ = 68.5°, I 24, (4 0 0)
2θ = 78.0°, I 23, (4 2 0)



Theoretical powder diffraction line list
Compound: BaAlZn2Ir
Radiation: Cu Kα X-rays
Structure: DFT lattice parameters and positions (GGA-PBE)
Neutral-atom scattering factors, no anomalous dispersion.

Crystal structure
Unit cell a=4.976 b=4.976 c=4.766 alpha=90.00 beta=90.00 gamma=90.00
Space group P4/mmm (No. 123)
Unique sites:
Ba 0.000 0.000 0.000 x1
Al 0.500 0.500 0.000 x1
Zn 0.000 0.500 0.500 x2
Ir 0.500 0.500 0.500 x1

Top 12 peaks for 2θ = 10–90°, sorted by position:
2θ = 18.6°, I 19, (0 0 1)
2θ = 25.3°, I 26, (1 1 0)
2θ = 25.9°, I 100, (1 0 1)
2θ = 36.1°, I 59, (2 0 0)
2θ = 37.8°, I 26, (0 0 2)
2θ = 40.9°, I 11, (2 0 1)
2θ = 45.0°, I 46, (2 1 1)
2θ = 52.0°, I 21, (2 2 0)
2θ = 53.2°, I 38, (2 0 2)
2θ = 66.0°, I 20, (2 2 2)
2θ = 71.1°, I 12, (3 2 1)
2θ = 73.2°, I 11, (2 1 3)



Theoretical powder diffraction line list
Compound: KBaAl3Si5O16
Radiation: Cu Kα X-rays
Structure: DFT lattice parameters and positions (GGA-PBE)
Neutral-atom scattering factors, no anomalous dispersion.

Crystal structure
Unit cell a=7.306 b=7.888 c=7.936 alpha=112.99 beta=103.86 gamma=103.75
Space group P1 (No. 1)
Unique sites:
K 0.000 0.000 0.000 x1
Ba 0.261 0.563 0.569 x1
Al 0.346 0.483 0.105 x1
Al 0.349 0.116 0.475 x1
Al 0.774 0.465 0.690 x1
Si 0.470 0.878 0.105 x1
Si 0.471 0.118 0.871 x1
Si 0.778 0.698 0.453 x1
Si 0.894 0.090 0.442 x1
Si 0.899 0.464 0.087 x1
O 0.109 0.136 0.412 x1
O 0.116 0.436 0.149 x1
O 0.349 0.251 0.963 x1
O 0.357 0.974 0.245 x1
O 0.381 0.637 0.995 x1
O 0.390 0.008 0.632 x1
O 0.427 0.925 0.915 x1
O 0.511 0.364 0.595 x1
O 0.532 0.605 0.347 x1
O 0.718 0.974 0.218 x1
O 0.719 0.240 0.976 x1
O 0.858 0.668 0.645 x1
O 0.865 0.940 0.539 x1
O 0.879 0.568 0.948 x1
O 0.887 0.598 0.301 x1
O 0.889 0.302 0.579 x1

Top 12 peaks for 2θ = 10–90°, sorted by position:
2θ = 13.1°, I 61, (0 1 0)
2θ = 14.9°, I 46, (1 0 -1)
2θ = 19.0°, I 50, (1 1 -1)
2θ = 23.1°, I 49, (0 1 -2)
2θ = 25.3°, I 100, (2 -1 0)
2θ = 26.3°, I 74, (0 0 2)
2θ = 26.4°, I 76, (0 2 0)
2θ = 26.7°, I 62, (-2 1 1)
2θ = 27.1°, I 75, (2 0 0)
2θ = 30.3°, I 62, (1 2 -2)
2θ = 31.8°, I 50, (2 -2 1)
2θ = 34.4°, I 60, (1 -3 1)



Theoretical powder diffraction line list
Compound: K2BaAlSn2
Radiation: Cu Kα X-rays
Structure: DFT lattice parameters and positions (GGA-PBE)
Neutral-atom scattering factors, no anomalous dispersion.

Crystal structure
Unit cell a=5.009 b=10.040 c=8.651 alpha=90.00 beta=90.00 gamma=90.00
Space group Pmc2_1 (No. 26)
Unique sites:
K 0.000 0.086 0.000 x2
K 0.500 0.151 0.329 x2
Ba 0.500 0.449 0.011 x2
Al 0.000 0.338 0.651 x2
Sn 0.000 0.392 0.301 x2
Sn 0.500 0.199 0.719 x2

Top 12 peaks for 2θ = 10–90°, sorted by position:
2θ = 20.5°, I 21, (0 2 1)
2θ = 22.3°, I 32, (1 1 1)
2θ = 27.2°, I 70, (0 2 2)
2θ = 28.7°, I 100, (1 1 2)
2θ = 32.2°, I 29, (1 3 0)
2θ = 32.3°, I 20, (0 1 3)
2θ = 32.7°, I 25, (1 2 2)
2θ = 35.9°, I 30, (2 0 0)
2θ = 37.0°, I 15, (1 1 3)
2θ = 41.6°, I 23, (1 4 1)
2θ = 46.5°, I 16, (2 3 1)
2θ = 51.6°, I 13, (1 4 3)



Theoretical powder diffraction line list
Compound: BaLaAl
Radiation: Cu Kα X-rays
Structure: DFT lattice parameters and positions (GGA-PBE)
Neutral-atom scattering factors, no anomalous dispersion.

Crystal structure
Unit cell a=24.171 b=4.602 c=4.358 alpha=90.00 beta=90.09 gamma=90.00
Space group Cm (No. 8)
Unique sites:
Ba 0.000 0.000 0.000 x2
Ba 0.137 0.500 0.502 x2
La 0.252 0.000 0.002 x2
La 0.385 0.000 0.503 x2
Al 0.286 0.500 0.503 x2
Al 0.351 0.500 0.003 x2

Top 12 peaks for 2θ = 10–90°, sorted by position:
2θ = 22.2°, I 47, (3 1 0)
2θ = 25.2°, I 100, (4 0 -1)
2θ = 26.7°, I 53, (5 1 0)
2θ = 28.4°, I 80, (1 1 1)
2θ = 29.6°, I 37, (8 0 0)
2θ = 30.3°, I 25, (3 1 1)
2θ = 38.6°, I 37, (7 1 -1)
2θ = 39.1°, I 22, (0 2 0)
2θ = 41.4°, I 19, (0 0 2)
2θ = 47.1°, I 37, (4 2 -1)
2θ = 49.8°, I 35, (12 0 -1)
2θ = 50.0°, I 19, (5 1 -2)



Theoretical powder diffraction line list
Compound: Ba3LiAl8
Radiation: Cu Kα X-rays
Structure: DFT lattice parameters and positions (GGA-PBE)
Neutral-atom scattering factors, no anomalous dispersion.

Crystal structure
Unit cell a=5.9280 b=5.9280 c=28.9457 alpha=90.00 beta=90.00 gamma=120.00
Space group R3m (No. 160, hexagonal axes)
Unique sites:
Ba 0.0000 0.0000 0.0000 x3
Ba 0.0000 0.0000 0.1255 x3
Ba 0.0000 0.0000 0.6205 x3
Li 0.0000 0.0000 0.4942 x3
Al 0.0000 0.0000 0.3136 x3
Al 0.0000 0.0000 0.8096 x3
Al 0.0004 0.5002 0.0638 x9
Al 0.0011 0.5006 0.5593 x9

Top 12 peaks for 2θ = 10–90°, sorted by position:
2θ = 17.5°, I 14, (1 0 1)
2θ = 18.3°, I 40, (0 1 2)
2θ = 21.2°, I 9, (1 0 4)
2θ = 23.2°, I 10, (0 1 5)
2θ = 30.2°, I 77, (1 1 0)
2θ = 35.6°, I 100, (1 0 10)
2θ = 37.2°, I 9, (0 2 4)
2θ = 53.6°, I 23, (3 0 0)
2θ = 57.1°, I 25, (2 1 10)
2θ = 62.7°, I 11, (2 2 0)
2θ = 62.8°, I 11, (0 2 16)
2θ = 89.9°, I 12, (3 2 10)



Theoretical powder diffraction line list
Compound: Ba4Li2Al
Radiation: Cu Kα X-rays
Structure: DFT lattice parameters and positions (GGA-PBE)
Neutral-atom scattering factors, no anomalous dispersion.

Crystal structure
Unit cell a=6.0280 b=6.0280 c=29.5050 alpha=90.00 beta=90.00 gamma=120.00
Space group R-3m (No. 166, hexagonal axes)
Unique sites:
Ba 0.0000 0.0000 0.1222 x6
Ba 0.0000 0.0000 0.3733 x6
Li 0.0000 0.0000 0.2554 x6
Al 0.0000 0.0000 0.0000 x3

Top 12 peaks for 2θ = 10–90°, sorted by position:
2θ = 20.8°, I 90, (1 0 4)
2θ = 29.6°, I 100, (1 1 0)
2θ = 36.5°, I 28, (0 2 4)
2θ = 42.4°, I 18, (2 0 8)
2θ = 47.7°, I 39, (2 1 4)
2θ = 52.6°, I 39, (3 0 0)
2θ = 61.6°, I 12, (2 2 0)
2θ = 65.7°, I 19, (1 3 4)
2θ = 69.8°, I 17, (3 1 8)
2θ = 73.7°, I 11, (4 0 4)
2θ = 81.4°, I 8, (3 2 4)
2θ = 85.2°, I 20, (4 1 0)



Theoretical powder diffraction line list
Compound: BaMg6Al2
Radiation: Cu Kα X-rays
Structure: DFT lattice parameters and positions (GGA-PBE)
Neutral-atom scattering factors, no anomalous dispersion.

Crystal structure
Unit cell a=4.779 b=4.779 c=10.020 alpha=90.00 beta=90.00 gamma=90.00
Space group P4/mmm (No. 123)
Unique sites:
Ba 0.000 0.000 0.000 x1
Mg 0.000 0.000 0.500 x1
Mg 0.000 0.500 0.293 x4
Mg 0.500 0.500 0.500 x1
Al 0.500 0.500 0.134 x2

Top 12 peaks for 2θ = 10–90°, sorted by position:
2θ = 20.6°, I 37, (1 0 1)
2θ = 25.8°, I 46, (1 0 2)
2θ = 26.4°, I 21, (1 1 0)
2θ = 27.9°, I 42, (1 1 1)
2θ = 31.9°, I 100, (1 1 2)
2θ = 32.7°, I 41, (1 0 3)
2θ = 37.6°, I 52, (2 0 0)
2θ = 40.7°, I 24, (1 0 4)
2θ = 46.2°, I 19, (2 1 2)
2θ = 50.7°, I 23, (2 1 3)
2θ = 56.6°, I 18, (2 1 4)
2θ = 64.4°, I 25, (3 1 2)